Record 1
SmHo8Te2: calculated powder X-ray diffraction pattern (Cu Kα), based on a cell relaxed with PBE.

The 10 most intense peaks (10° ≤ 2θ ≤ 80°), in order of rising 2θ:
hkl 0 2 0, 15.8 deg, intensity 19
hkl 4 2 0, 25.5 deg, intensity 19
hkl 2 2 -1, 29.2 deg, intensity 20
hkl 3 1 1, 30.2 deg, intensity 67
hkl 2 2 1, 30.8 deg, intensity 25
hkl 0 4 0, 31.8 deg, intensity 59
hkl 4 2 -1, 33.4 deg, intensity 100
hkl 7 1 0, 36.3 deg, intensity 35
hkl 3 3 1, 37.9 deg, intensity 35
hkl 4 6 -1, 57.7 deg, intensity 20

Crystal structure
```
data_SmHo8Te2
_space_group_name_H-M_alt 'C 1 2/m 1'
_space_group_IT_number 12
_space_group_name_Hall '-C 2y'
_cell_length_a 17.879
_cell_length_b 11.241
_cell_length_c 3.842
_cell_angle_alpha 90.00
_cell_angle_beta 95.93
_cell_angle_gamma 90.00
loop_
_atom_site_label
_atom_site_fract_x
_atom_site_fract_y
_atom_site_fract_z
Sm1 0.000 0.000 0.000
Ho1 0.070 0.500 0.280
Ho2 0.087 0.258 0.779
Ho3 0.228 0.500 0.859
Te1 0.139 0.000 0.570
```

Record 2
Sm3HoTe6: calculated powder X-ray diffraction pattern (Cu Kα), based on a cell relaxed with PBE.

The 10 most intense peaks (10° ≤ 2θ ≤ 80°), in order of rising 2θ:
hkl 1 1 -3, 22.7 deg, intensity 52
hkl 1 0 2, 26.5 deg, intensity 80
hkl 2 1 -1, 27.5 deg, intensity 53
hkl 1 1 2, 28.7 deg, intensity 55
hkl 1 1 -4, 29.0 deg, intensity 55
hkl 0 2 3, 32.3 deg, intensity 54
hkl 1 3 -1, 35.0 deg, intensity 100
hkl 0 2 4, 38.8 deg, intensity 55
hkl 3 1 -1, 41.3 deg, intensity 55
hkl 3 1 -5, 41.7 deg, intensity 60

Crystal structure
```
data_Sm3HoTe6
_space_group_name_H-M_alt 'P 1 21/c 1'
_space_group_IT_number 14
_space_group_name_Hall '-P 2ybc'
_cell_length_a 7.397
_cell_length_b 8.206
_cell_length_c 13.383
_cell_angle_alpha 90.00
_cell_angle_beta 122.75
_cell_angle_gamma 90.00
loop_
_atom_site_label
_atom_site_fract_x
_atom_site_fract_y
_atom_site_fract_z
Sm1 0.000 0.000 0.000
Sm2 0.305 0.120 0.753
Ho1 0.500 0.000 0.500
Te1 0.089 0.053 0.254
Te2 0.245 0.673 0.081
Te3 0.421 0.178 0.079
```

Record 3
SmHoTe6: calculated powder X-ray diffraction pattern (Cu Kα), based on a cell relaxed with PBE.

The 10 most intense peaks (10° ≤ 2θ ≤ 80°), in order of rising 2θ:
hkl 0 0 4, 13.2 deg, intensity 14
hkl 0 0 8, 26.5 deg, intensity 36
hkl 1 1 1, 29.2 deg, intensity 18
hkl 1 1 3, 30.7 deg, intensity 100
hkl 1 1 5, 33.5 deg, intensity 38
hkl 1 0 8, 33.7 deg, intensity 14
hkl 1 1 7, 37.4 deg, intensity 33
hkl 2 0 0, 41.5 deg, intensity 50
hkl 2 2 0, 60.1 deg, intensity 17
hkl 3 1 3, 69.0 deg, intensity 19

Crystal structure
```
data_SmHoTe6
_space_group_name_H-M_alt 'A m m 2'
_space_group_IT_number 38
_space_group_name_Hall 'A 2 -2'
_cell_length_a 4.355
_cell_length_b 4.353
_cell_length_c 26.907
_cell_angle_alpha 90.00
_cell_angle_beta 90.00
_cell_angle_gamma 90.00
loop_
_atom_site_label
_atom_site_fract_x
_atom_site_fract_y
_atom_site_fract_z
Sm1 0.000 0.000 0.000
Ho1 0.500 0.000 0.345
Te1 0.000 0.000 0.252
Te2 0.000 0.000 0.595
Te3 0.000 0.000 0.879
Te4 0.500 0.000 0.095
Te5 0.500 0.000 0.464
Te6 0.500 0.000 0.752
```

Record 4
SmHo2Tm3Te6: calculated powder X-ray diffraction pattern (Cu Kα), based on a cell relaxed with PBE.

The 10 most intense peaks (10° ≤ 2θ ≤ 80°), in order of rising 2θ:
hkl 1 1 -2, 29.1 deg, intensity 100
hkl 2 0 -4, 41.4 deg, intensity 38
hkl 0 2 0, 41.9 deg, intensity 37
hkl 8 0 -4, 50.9 deg, intensity 7
hkl 6 2 0, 51.9 deg, intensity 20
hkl 2 2 -4, 60.4 deg, intensity 12
hkl 8 2 -4, 68.0 deg, intensity 17
hkl 1 3 -2, 68.8 deg, intensity 17
hkl 9 1 -6, 75.0 deg, intensity 6
hkl 7 3 -2, 76.2 deg, intensity 12

Crystal structure
```
data_SmHo2Tm3Te6
_space_group_name_H-M_alt 'C 1 2/m 1'
_space_group_IT_number 12
_space_group_name_Hall '-C 2y'
_cell_length_a 18.999
_cell_length_b 4.306
_cell_length_c 8.737
_cell_angle_alpha 90.00
_cell_angle_beta 104.34
_cell_angle_gamma 90.00
loop_
_atom_site_label
_atom_site_fract_x
_atom_site_fract_y
_atom_site_fract_z
Sm1 0.000 0.000 0.000
Ho1 0.164 0.500 0.327
Tm1 0.000 0.000 0.500
Tm2 0.163 0.500 0.831
Te1 0.000 0.500 0.259
Te2 0.167 0.000 0.584
Te3 0.171 0.000 0.082
```